Starting from the GGA-PBE geometry in the Materials Project, the X-ray powder pattern of BiBCl was simulated for Cu Kα.
Peak positions follow from Bragg's law for the DFT cell and can differ from measured ones.

Crystal structure
Cell lengths 6.628, 6.628, 6.628 Å; angles 90.00, 90.00, 90.00 degrees
Fractional coordinates of all 12 atoms:
1 Bi 0.000 0.000 0.000
2 Bi 0.000 0.500 0.500
3 Bi 0.500 0.000 0.500
4 Bi 0.500 0.500 0.000
5 B 0.000 0.000 0.500
6 B 0.000 0.500 0.000
7 B 0.500 0.000 0.000
8 B 0.500 0.500 0.500
9 Cl 0.250 0.250 0.750
10 Cl 0.250 0.750 0.250
11 Cl 0.750 0.250 0.250
12 Cl 0.750 0.750 0.750

Most intense lines, 2θ from 10° to 80°, by angle:
23.24 deg, rel. 100, hkl 1 1 1; 26.90 deg, rel. 42, hkl 2 0 0; 38.41 deg, rel. 65, hkl 2 2 0; 45.38 deg, rel. 54, hkl 3 1 1; 47.52 deg, rel. 13, hkl 2 2 2; 55.45 deg, rel. 11, hkl 4 0 0; 60.93 deg, rel. 23, hkl 3 3 1; 62.69 deg, rel. 17, hkl 4 2 0; 69.48 deg, rel. 23, hkl 4 2 2; 74.37 deg, rel. 18, hkl 5 1 1